This entry pairs a crystal structure of Ba2DySe3 with its calculated powder XRD pattern. Radiation: Cu Kα (weighted mean of Kα1 and Kα2). Structure: a crystal structure in OQMD, relaxed with PBE.

Top 8 peaks for 5° ≤ 2θ ≤ 70°, by intensity:
28.27°, intensity 1000, hkl 0 1 2; 40.94°, intensity 382, hkl 1 1 0; 39.86°, intensity 351, hkl 1 0 4; 50.50°, intensity 198, hkl 2 0 2; 66.95°, intensity 169, hkl 1 2 2; 65.42°, intensity 126, hkl 1 1 6; 24.63°, intensity 115, hkl 1 0 1; 58.47°, intensity 113, hkl 0 2 4

Cell and atoms:
Lattice parameters (Å, degrees): 4.4088 4.4088 11.2274 90.00 90.00 120.00
Space group P-3m1 (No. 164)
Symmetry-distinct sites (fractional):
Ba1 0.3333 0.6667 0.1780
Dy1 0.0000 0.0000 0.5000
Se1 0.0000 0.0000 0.0000
Se2 0.3333 0.6667 0.6351